Starting from a structure optimized by DFT (GGA+U), the X-ray powder pattern of MgTi2Ni2O6 was computed for λ = 1.5418 Å (Cu Kα).
Neutral-atom scattering factors, no anomalous dispersion.

Structure:
abc: 5.120 5.141 5.778
angles: 64.92 89.82 61.14
Space group P1 (No. 1)
Asymmetric unit:
Mg: 0.000 0.000 0.000 x1
Ti: 0.433 0.096 0.371 x1
Ti: 0.834 0.361 0.440 x1
Ni: 0.237 0.531 0.673 x1
Ni: 0.636 0.715 0.917 x1
O: 0.045 0.538 0.171 x1
O: 0.217 0.934 0.672 x1
O: 0.424 0.858 0.195 x1
O: 0.605 0.154 0.658 x1
O: 0.708 0.242 0.184 x1
O: 0.837 0.541 0.670 x1

Largest 10 diffraction maxima, low angle first, 15° ≤ 2θ ≤ 90°:
hkl 1 1 0, 20.86 deg, d 4.258, rel. 26.8; hkl -1 1 1, 34.41 deg, d 2.607, rel. 54.2; hkl 0 1 -1, 34.93 deg, d 2.569, rel. 100.0; hkl 2 1 0, 35.06 deg, d 2.559, rel. 51.4; hkl 1 1 2, 36.05 deg, d 2.492, rel. 47.1; hkl 1 0 -2, 36.27 deg, d 2.477, rel. 42.3; hkl 2 0 1, 49.78 deg, d 1.832, rel. 35.9; hkl 2 2 -1, 50.89 deg, d 1.794, rel. 20.3; hkl 0 2 3, 51.58 deg, d 1.772, rel. 20.3; hkl 0 3 2, 61.89 deg, d 1.499, rel. 29.5



Starting from a structure optimized by DFT (GGA+U), the X-ray powder pattern of Cr3B7O13F was computed for λ = 1.5418 Å (Cu Kα).
Neutral-atom scattering factors, no anomalous dispersion.

Structure:
abc: 12.216 12.216 12.216
angles: 90.00 90.00 90.00
Space group F-43c (No. 219)
Asymmetric unit:
Cr: 0.000 0.000 0.250 x24
B: 0.000 0.250 0.250 x24
B: 0.170 0.170 0.170 x32
O: 0.070 0.154 0.230 x96
O: 0.250 0.250 0.250 x8
F: 0.000 0.000 0.000 x8

Largest 10 diffraction maxima, low angle first, 15° ≤ 2θ ≤ 90°:
hkl 2 2 0, 20.56 deg, d 4.319, rel. 28.7; hkl 2 2 2, 25.25 deg, d 3.527, rel. 54.6; hkl 4 0 0, 29.24 deg, d 3.054, rel. 100.0; hkl 4 2 0, 32.78 deg, d 2.732, rel. 45.7; hkl 4 4 0, 41.83 deg, d 2.160, rel. 54.3; hkl 5 3 1, 43.84 deg, d 2.065, rel. 44.1; hkl 6 2 2, 49.49 deg, d 1.842, rel. 57.8; hkl 4 4 4, 51.85 deg, d 1.763, rel. 31.6; hkl 8 4 0, 68.73 deg, d 1.366, rel. 27.2; hkl 8 4 4, 76.38 deg, d 1.247, rel. 27.6



Starting from a structure optimized by DFT (GGA+U), the X-ray powder pattern of CoTePb2O6 was computed for λ = 1.5418 Å (Cu Kα).
Neutral-atom scattering factors, no anomalous dispersion.

Structure:
abc: 5.794 5.733 9.883
angles: 90.00 125.58 90.00
Space group P2_1/c (No. 14)
Asymmetric unit:
Co: 0.000 0.000 0.000 x2
Te: 0.500 0.000 0.500 x2
Pb: 0.257 0.007 0.753 x4
O: 0.209 0.008 0.259 x4
O: 0.281 0.229 0.530 x4
O: 0.301 0.745 0.525 x4

Largest 10 diffraction maxima, low angle first, 15° ≤ 2θ ≤ 90°:
hkl 1 1 -1, 21.81 deg, d 4.075, rel. 16.7; hkl 2 0 -2, 30.86 deg, d 2.897, rel. 33.6; hkl 1 1 1, 31.20 deg, d 2.867, rel. 100.0; hkl 1 1 -3, 31.32 deg, d 2.856, rel. 66.2; hkl 2 2 -2, 44.46 deg, d 2.038, rel. 36.9; hkl 0 0 4, 45.12 deg, d 2.009, rel. 17.4; hkl 3 1 -5, 55.26 deg, d 1.662, rel. 14.5; hkl 2 0 2, 55.55 deg, d 1.654, rel. 34.0; hkl 0 2 4, 55.86 deg, d 1.646, rel. 20.4; hkl 0 4 0, 65.07 deg, d 1.433, rel. 16.5



Starting from a structure optimized by DFT (GGA+U), the X-ray powder pattern of Mn8NO16 was computed for λ = 1.5418 Å (Cu Kα).
Neutral-atom scattering factors, no anomalous dispersion.

Structure:
abc: 5.864 7.184 7.184
angles: 87.61 78.22 78.22
Space group P-1 (No. 2)
Asymmetric unit:
Mn: 0.076 0.015 0.182 x2
Mn: 0.167 0.318 0.515 x2
Mn: 0.333 0.682 0.485 x2
Mn: 0.424 0.985 0.818 x2
N: 0.000 0.500 0.000 x1
O: 0.021 0.792 0.622 x2
O: 0.148 0.548 0.361 x2
O: 0.167 0.122 0.708 x2
O: 0.172 0.861 0.952 x2
O: 0.329 0.139 0.048 x2
O: 0.332 0.877 0.292 x2
O: 0.353 0.452 0.639 x2
O: 0.479 0.208 0.377 x2

Largest 10 diffraction maxima, low angle first, 15° ≤ 2θ ≤ 90°:
hkl 0 1 1, 17.84 deg, d 4.973, rel. 100.0; hkl 0 1 2, 28.38 deg, d 3.145, rel. 75.3; hkl 0 2 2, 36.12 deg, d 2.486, rel. 26.7; hkl 2 2 1, 36.71 deg, d 2.448, rel. 84.1; hkl 2 2 2, 41.10 deg, d 2.196, rel. 23.9; hkl 2 2 3, 48.89 deg, d 1.863, rel. 46.8; hkl 0 3 3, 55.43 deg, d 1.658, rel. 23.0; hkl 2 2 4, 59.12 deg, d 1.563, rel. 48.9; hkl 2 5 1, 68.34 deg, d 1.373, rel. 33.8; hkl 4 4 4, 89.17 deg, d 1.098, rel. 14.1



Starting from a structure optimized by DFT (GGA+U), the X-ray powder pattern of Li9Mn2Co5O16 was computed for λ = 1.5418 Å (Cu Kα).
Neutral-atom scattering factors, no anomalous dispersion.

Structure:
abc: 2.963 10.147 10.708
angles: 114.32 96.03 91.31
Space group P1 (No. 1)
Asymmetric unit:
Li: 0.000 0.000 0.000 x1
Li: 0.004 0.505 0.003 x1
Li: 0.137 0.442 0.259 x1
Li: 0.239 0.381 0.496 x1
Li: 0.250 0.874 0.500 x1
Li: 0.492 0.256 0.002 x1
Li: 0.499 0.749 0.998 x1
Li: 0.742 0.618 0.492 x1
Li: 0.757 0.129 0.508 x1
Mn: 0.117 0.935 0.248 x1
Mn: 0.621 0.198 0.252 x1
Co: 0.372 0.314 0.751 x1
Co: 0.374 0.815 0.752 x1
Co: 0.630 0.677 0.250 x1
Co: 0.872 0.563 0.749 x1
Co: 0.876 0.064 0.751 x1
O: 0.041 0.726 0.137 x1
O: 0.083 0.218 0.142 x1
O: 0.155 0.153 0.356 x1
O: 0.214 0.662 0.366 x1
O: 0.307 0.600 0.636 x1
O: 0.313 0.100 0.634 x1
O: 0.434 0.029 0.867 x1
O: 0.437 0.528 0.864 x1
O: 0.530 0.979 0.137 x1
O: 0.562 0.493 0.135 x1
O: 0.687 0.391 0.369 x1
O: 0.705 0.894 0.361 x1
O: 0.812 0.348 0.637 x1
O: 0.813 0.852 0.637 x1
O: 0.935 0.779 0.866 x1
O: 0.940 0.277 0.868 x1

Largest 10 diffraction maxima, low angle first, 15° ≤ 2θ ≤ 90°:
hkl 0 0 2, 18.33 deg, d 4.840, rel. 100.0; hkl 1 -2 1, 35.08 deg, d 2.558, rel. 16.6; hkl 1 2 -2, 36.08 deg, d 2.490, rel. 25.8; hkl -1 2 1, 37.33 deg, d 2.409, rel. 7.6; hkl 1 -2 3, 42.25 deg, d 2.139, rel. 31.1; hkl 1 2 -4, 43.82 deg, d 2.066, rel. 27.5; hkl 0 4 1, 44.00 deg, d 2.058, rel. 26.6; hkl 0 4 -7, 62.25 deg, d 1.491, rel. 7.8; hkl 1 2 4, 62.64 deg, d 1.483, rel. 15.4; hkl 2 0 -1, 62.75 deg, d 1.481, rel. 8.0



Starting from a structure optimized by DFT (GGA+U), the X-ray powder pattern of Li9Mn2Co5O16 was computed for λ = 1.5418 Å (Cu Kα).
Neutral-atom scattering factors, no anomalous dispersion.

Structure:
abc: 2.955 8.112 11.914
angles: 90.85 92.26 90.58
Space group P-1 (No. 2)
Asymmetric unit:
Li: 0.000 0.000 0.000 x1
Li: 0.000 0.000 0.500 x1
Li: 0.000 0.500 0.000 x1
Li: 0.002 0.497 0.242 x2
Li: 0.493 0.264 0.125 x2
Li: 0.493 0.749 0.379 x2
Mn: 0.494 0.257 0.877 x2
Co: 0.000 0.500 0.500 x1
Co: 0.004 0.004 0.248 x2
Co: 0.500 0.251 0.375 x2
O: 0.009 0.262 0.496 x2
O: 0.010 0.249 0.983 x2
O: 0.011 0.761 0.745 x2
O: 0.020 0.764 0.236 x2
O: 0.459 0.009 0.369 x2
O: 0.459 0.510 0.619 x2
O: 0.465 0.009 0.867 x2
O: 0.494 0.519 0.129 x2

Largest 10 diffraction maxima, low angle first, 15° ≤ 2θ ≤ 90°:
hkl 0 1 -2, 18.35 deg, d 4.834, rel. 100.0; hkl -1 1 2, 35.15 deg, d 2.553, rel. 16.1; hkl 1 1 2, 36.41 deg, d 2.468, rel. 12.5; hkl 0 3 2, 36.72 deg, d 2.448, rel. 11.6; hkl 1 0 -4, 42.26 deg, d 2.139, rel. 30.4; hkl 1 0 4, 44.05 deg, d 2.056, rel. 26.5; hkl 0 4 0, 44.69 deg, d 2.028, rel. 25.1; hkl 0 0 8, 62.41 deg, d 1.488, rel. 7.6; hkl 2 0 0, 62.97 deg, d 1.476, rel. 7.7; hkl 1 4 -4, 63.08 deg, d 1.474, rel. 7.5



Starting from a structure optimized by DFT (GGA+U), the X-ray powder pattern of Cu2W2O7 was computed for λ = 1.5418 Å (Cu Kα).
Neutral-atom scattering factors, no anomalous dispersion.

Structure:
abc: 6.294 6.897 7.153
angles: 103.01 90.55 101.44
Space group P-1 (No. 2)
Asymmetric unit:
Cu: 0.206 0.221 0.079 x2
Cu: 0.217 0.747 0.711 x2
W: 0.221 0.205 0.561 x2
W: 0.223 0.777 0.210 x2
O: 0.091 0.202 0.818 x2
O: 0.110 0.854 0.504 x2
O: 0.166 0.508 0.190 x2
O: 0.271 0.470 0.582 x2
O: 0.272 0.111 0.295 x2
O: 0.299 0.796 0.972 x2
O: 0.487 0.173 0.664 x2

Largest 10 diffraction maxima, low angle first, 15° ≤ 2θ ≤ 90°:
hkl 0 1 -1, 16.26 deg, d 5.451, rel. 49.0; hkl 1 -1 1, 20.35 deg, d 4.364, rel. 31.1; hkl 0 2 0, 27.13 deg, d 3.287, rel. 100.0; hkl 1 0 -2, 28.74 deg, d 3.106, rel. 33.1; hkl 2 0 0, 28.99 deg, d 3.080, rel. 87.5; hkl 1 -1 2, 29.21 deg, d 3.057, rel. 36.8; hkl 1 0 2, 30.21 deg, d 2.958, rel. 30.7; hkl 1 1 -2, 30.54 deg, d 2.927, rel. 28.7; hkl -1 1 2, 33.14 deg, d 2.703, rel. 42.2; hkl 2 -2 0, 35.61 deg, d 2.521, rel. 36.3



Starting from a structure optimized by DFT (GGA+U), the X-ray powder pattern of Li6NiO4 was computed for λ = 1.5418 Å (Cu Kα).
Neutral-atom scattering factors, no anomalous dispersion.

Structure:
abc: 6.596 8.085 8.092
angles: 109.51 90.06 90.03
Space group P1 (No. 1)
Asymmetric unit:
Li: 0.000 0.000 0.000 x1
Li: 0.000 0.249 0.249 x1
Li: 0.001 0.749 0.753 x1
Li: 0.002 0.497 0.502 x1
Li: 0.216 0.116 0.832 x1
Li: 0.218 0.333 0.618 x1
Li: 0.218 0.614 0.337 x1
Li: 0.220 0.833 0.114 x1
Li: 0.278 0.334 0.113 x1
Li: 0.280 0.114 0.336 x1
Li: 0.283 0.832 0.619 x1
Li: 0.285 0.615 0.833 x1
Li: 0.499 0.698 0.203 x1
Li: 0.500 0.450 0.950 x1
Li: 0.500 0.947 0.452 x1
Li: 0.501 0.199 0.699 x1
Li: 0.716 0.615 0.832 x1
Li: 0.716 0.832 0.620 x1
Li: 0.719 0.333 0.115 x1
Li: 0.721 0.114 0.337 x1
Li: 0.780 0.614 0.339 x1
Li: 0.780 0.833 0.116 x1
Li: 0.783 0.115 0.833 x1
Li: 0.786 0.332 0.618 x1
Ni: 0.000 0.968 0.471 x1
Ni: 0.500 0.468 0.471 x1
Ni: 0.500 0.979 0.981 x1
Ni: 0.999 0.479 0.979 x1
O: 0.000 0.001 0.236 x1
O: 0.000 0.238 0.999 x1
O: 0.000 0.735 0.506 x1
O: 0.004 0.498 0.739 x1
O: 0.234 0.368 0.369 x1
O: 0.239 0.868 0.871 x1
O: 0.261 0.079 0.580 x1
O: 0.265 0.579 0.082 x1
O: 0.499 0.710 0.453 x1
O: 0.500 0.212 0.946 x1
O: 0.500 0.946 0.216 x1
O: 0.502 0.449 0.711 x1
O: 0.733 0.579 0.084 x1
O: 0.740 0.079 0.581 x1
O: 0.761 0.868 0.871 x1
O: 0.767 0.368 0.370 x1

Largest 10 diffraction maxima, low angle first, 15° ≤ 2θ ≤ 90°:
hkl 1 -1 1, 19.01 deg, d 4.668, rel. 41.4; hkl 1 1 1, 23.34 deg, d 3.811, rel. 100.0; hkl 2 0 0, 27.02 deg, d 3.300, rel. 23.8; hkl 2 1 1, 33.25 deg, d 2.695, rel. 35.6; hkl 2 -2 0, 36.00 deg, d 2.495, rel. 49.1; hkl -1 1 3, 43.35 deg, d 2.087, rel. 28.2; hkl 3 1 1, 45.58 deg, d 1.990, rel. 24.9; hkl 4 0 0, 55.70 deg, d 1.650, rel. 54.3; hkl 1 3 -5, 61.19 deg, d 1.515, rel. 11.4; hkl 2 2 4, 68.12 deg, d 1.376, rel. 12.1



Starting from a structure optimized by DFT (GGA+U), the X-ray powder pattern of ZnNi2O4 was computed for λ = 1.5418 Å (Cu Kα).
Neutral-atom scattering factors, no anomalous dispersion.

Structure:
abc: 5.717 10.067 4.998
angles: 90.00 90.00 90.00
Space group Pmmn (No. 59, origin choice 2)
Asymmetric unit:
Zn: 0.250 0.250 0.018 x2
Zn: 0.250 0.750 0.340 x2
Ni: 0.000 0.000 0.500 x4
Ni: 0.250 0.514 0.989 x4
O: 0.001 0.115 0.830 x8
O: 0.250 0.097 0.307 x4
O: 0.250 0.602 0.635 x4

Largest 10 diffraction maxima, low angle first, 15° ≤ 2θ ≤ 90°:
hkl 0 2 0, 17.62 deg, d 5.034, rel. 90.4; hkl 1 1 1, 25.27 deg, d 3.525, rel. 73.0; hkl 0 4 0, 35.67 deg, d 2.517, rel. 52.2; hkl 0 0 2, 35.89 deg, d 2.502, rel. 84.8; hkl 2 0 1, 36.18 deg, d 2.482, rel. 90.4; hkl 0 2 2, 40.29 deg, d 2.238, rel. 39.9; hkl 2 2 1, 40.53 deg, d 2.226, rel. 84.1; hkl 0 4 2, 51.53 deg, d 1.773, rel. 54.3; hkl 2 4 1, 51.73 deg, d 1.767, rel. 100.0; hkl 2 0 3, 64.77 deg, d 1.439, rel. 52.4